For CdH4Br2O8, a structure optimized by DFT (GGA-PBE) gives the calculated powder X-ray diffraction pattern in this record (copper Kα).
Lines closer than 0.1° are merged.

Atomic structure:
a b c (Å): 6.2478 9.3894 12.7785
angles (deg): 90.00 90.00 90.00
Element x y z (fractional)
Cd1 0.0605 0.0765 0.2832
Cd2 0.4395 0.9235 0.7832
Cd3 0.5605 0.4235 0.7168
Cd4 0.9395 0.5765 0.2168
H1 0.1308 0.9186 0.1029
H2 0.1496 0.4798 0.6184
H3 0.1932 0.4095 0.0730
H4 0.2426 0.0683 0.0813
H5 0.2574 0.9317 0.5813
H6 0.3068 0.5905 0.5730
H7 0.3504 0.5202 0.1184
H8 0.3692 0.0814 0.6029
H9 0.6308 0.5814 0.8971
H10 0.6496 0.0202 0.3816
H11 0.6932 0.0905 0.9270
H12 0.7426 0.4317 0.9187
H13 0.7574 0.5683 0.4187
H14 0.8068 0.9095 0.4270
H15 0.8504 0.9798 0.8816
H16 0.8692 0.4186 0.3971
Br1 0.1824 0.6511 0.8821
Br2 0.2023 0.2113 0.8854
Br3 0.2977 0.7887 0.3854
Br4 0.3176 0.3489 0.3821
Br5 0.6824 0.8489 0.1179
Br6 0.7023 0.2887 0.1146
Br7 0.7977 0.7113 0.6146
Br8 0.8176 0.1511 0.6179
O1 0.0792 0.7838 0.3060
O2 0.0809 0.2726 0.4185
O3 0.1164 0.7593 0.7816
O4 0.1522 0.0334 0.8805
O5 0.2015 0.5112 0.0930
O6 0.2065 0.7658 0.5089
O7 0.2304 0.9897 0.1328
O8 0.2479 0.5072 0.3295
O9 0.2521 0.4928 0.8295
O10 0.2696 0.0103 0.6328
O11 0.2935 0.2342 0.0089
O12 0.2985 0.4888 0.5930
O13 0.3478 0.9666 0.3805
O14 0.3836 0.2407 0.2816
O15 0.4191 0.7274 0.9185
O16 0.4208 0.2162 0.8060
O17 0.5792 0.7162 0.6940
O18 0.5809 0.2274 0.5815
O19 0.6164 0.7407 0.2184
O20 0.6522 0.4666 0.1195
O21 0.7015 0.9888 0.9070
O22 0.7065 0.7342 0.4911
O23 0.7304 0.5103 0.8672
O24 0.7479 0.9928 0.6705
O25 0.7521 0.0072 0.1705
O26 0.7696 0.4897 0.3672
O27 0.7935 0.2658 0.9911
O28 0.7985 0.0112 0.4070
O29 0.8478 0.5334 0.6195
O30 0.8836 0.2593 0.7184
O31 0.9191 0.7726 0.0815
O32 0.9208 0.2838 0.1940

Most intense lines, 2θ from 10° to 90°, sorted by position:
d [Å]	2theta	I/Imax
6.389	13.86	29
4.467	19.88	100
3.753	23.71	30
3.601	24.72	45
3.236	27.56	47
3.155	28.29	43



For CdH2Br2O, a structure optimized by DFT (GGA-PBE) gives the calculated powder X-ray diffraction pattern in this record (copper Kα).
Lines closer than 0.1° are merged.

Atomic structure:
a b c (Å): 6.3713 6.3713 7.9064
angles (deg): 90.00 90.00 93.18
Element x y z (fractional)
Cd1 0.1305 0.8695 0.5000
Cd2 0.8695 0.1305 0.0000
H1 0.0633 0.7579 0.8627
H2 0.2421 0.9367 0.8627
H3 0.7579 0.0633 0.3627
H4 0.9367 0.2421 0.3627
Br1 0.1260 0.4412 0.9991
Br2 0.4412 0.1260 0.4991
Br3 0.5588 0.8740 0.9991
Br4 0.8740 0.5588 0.4991
O1 0.0943 0.9057 0.8258
O2 0.9057 0.0943 0.3258

Most intense lines, 2θ from 10° to 90°, sorted by position:
d [Å]	2theta	I/Imax
6.362	13.92	26
3.994	22.26	100
3.953	22.49	54
2.626	34.15	26
2.290	39.34	27
1.914	47.49	21



For CdH2SeBr2, a structure optimized by DFT (GGA-PBE) gives the calculated powder X-ray diffraction pattern in this record (copper Kα).
Lines closer than 0.1° are merged.

Atomic structure:
a b c (Å): 7.0036 7.0036 6.6578
angles (deg): 90.00 90.00 72.86
Element x y z (fractional)
Cd1 0.0907 0.9093 0.5000
Cd2 0.9093 0.0907 0.0000
H1 0.1960 0.6166 0.8802
H2 0.3834 0.8040 0.8802
H3 0.6166 0.1960 0.3802
H4 0.8040 0.3834 0.3802
Se1 0.3579 0.6421 0.7451
Se2 0.6421 0.3579 0.2451
Br1 0.0497 0.2744 0.6941
Br2 0.2744 0.0497 0.1941
Br3 0.7256 0.9503 0.6941
Br4 0.9503 0.7256 0.1941

Most intense lines, 2θ from 10° to 90°, sorted by position:
d [Å]	2theta	I/Imax
6.693	13.23	99
3.527	25.25	100
3.045	29.33	88
2.986	29.92	63
2.387	37.69	80
2.115	42.75	46



For HfCdBr, a structure optimized by DFT (GGA-PBE) gives the calculated powder X-ray diffraction pattern in this record (copper Kα).
Lines closer than 0.1° are merged.

Atomic structure:
a b c (Å): 15.8912 3.3401 3.3401
angles (deg): 59.87 90.00 90.00
Element x y z (fractional)
Hf1 0.1550 0.0000 0.0000
Hf2 0.8450 0.0000 0.0000
Cd1 0.0000 0.6675 0.6675
Cd2 0.5000 0.9414 0.9414
Br1 0.2763 0.6668 0.6668
Br2 0.7237 0.6668 0.6668

Most intense lines, 2θ from 10° to 90°, sorted by position:
d [Å]	2theta	I/Imax
5.297	16.74	22
2.890	30.94	36
2.538	35.37	100
2.337	38.52	31
1.953	46.50	24
1.393	67.19	16



For CdHg5Br12, a structure optimized by DFT (GGA-PBE) gives the calculated powder X-ray diffraction pattern in this record (copper Kα).
Lines closer than 0.1° are merged.

Atomic structure:
a b c (Å): 7.0855 7.0855 13.8550
angles (deg): 90.20 90.20 118.37
Element x y z (fractional)
Cd1 0.0000 0.0000 0.0000
Hg1 0.1667 0.8333 0.5000
Hg2 0.3317 0.6683 0.0000
Hg3 0.5000 0.5000 0.5000
Hg4 0.6683 0.3317 0.0000
Hg5 0.8333 0.1667 0.5000
Br1 0.0107 0.6810 0.1152
Br2 0.1556 0.1556 0.6157
Br3 0.1776 0.5109 0.3843
Br4 0.3190 0.9893 0.8848
Br5 0.3358 0.3358 0.1123
Br6 0.4891 0.8224 0.6157
Br7 0.5109 0.1776 0.3843
Br8 0.6642 0.6642 0.8877
Br9 0.6810 0.0107 0.1152
Br10 0.8224 0.4891 0.6157
Br11 0.8444 0.8444 0.3843
Br12 0.9893 0.3190 0.8848

Most intense lines, 2θ from 10° to 90°, sorted by position:
d [Å]	2theta	I/Imax
6.927	12.78	100
3.431	25.97	25
3.152	28.31	29
2.815	31.79	32
2.806	31.90	31
2.055	44.06	43



For Cd3Hg5Br16, a structure optimized by DFT (GGA-PBE) gives the calculated powder X-ray diffraction pattern in this record (copper Kα).
Lines closer than 0.1° are merged.

Atomic structure:
a b c (Å): 8.2207 8.2207 13.1035
angles (deg): 90.72 90.72 59.91
Element x y z (fractional)
Cd1 0.0000 0.0000 0.0000
Cd2 0.1694 0.6632 0.5003
Cd3 0.6632 0.1694 0.5003
Hg1 0.0009 0.4927 0.0030
Hg2 0.1632 0.1632 0.2658
Hg3 0.4927 0.0009 0.0030
Hg4 0.4969 0.4969 0.7647
Hg5 0.6621 0.6621 0.5039
Br1 0.1546 0.6693 0.8788
Br2 0.1613 0.1613 0.8795
Br3 0.3203 0.8462 0.1288
Br4 0.3249 0.3249 0.1316
Br5 0.3353 0.8177 0.6288
Br6 0.3402 0.3402 0.6262
Br7 0.4947 0.4947 0.3802
Br8 0.5058 0.9936 0.3793
Br9 0.6674 0.6674 0.8774
Br10 0.6693 0.1546 0.8788
Br11 0.8177 0.3353 0.6288
Br12 0.8343 0.8343 0.1160
Br13 0.8349 0.8349 0.6146
Br14 0.8462 0.3203 0.1288
Br15 0.9917 0.9917 0.3802
Br16 0.9936 0.5058 0.3793

Most intense lines, 2θ from 10° to 90°, sorted by position:
d [Å]	2theta	I/Imax
6.277	14.11	41
6.227	14.22	62
3.114	28.66	54
2.768	32.35	40
2.746	32.61	62
2.054	44.09	100



For Cd3HgBr8, a structure optimized by DFT (GGA-PBE) gives the calculated powder X-ray diffraction pattern in this record (copper Kα).
Lines closer than 0.1° are merged.

Atomic structure:
a b c (Å): 8.1584 8.1584 8.3329
angles (deg): 119.75 119.75 59.98
Element x y z (fractional)
Cd1 0.0000 0.0000 0.0000
Cd2 0.0000 0.5000 0.0000
Cd3 0.5000 0.0000 0.0000
Hg1 0.5000 0.5000 0.0000
Br1 0.2410 0.7470 0.2316
Br2 0.2440 0.2440 0.2288
Br3 0.2528 0.2528 0.7684
Br4 0.2530 0.7590 0.7684
Br5 0.7470 0.2410 0.2316
Br6 0.7472 0.7472 0.2316
Br7 0.7560 0.7560 0.7712
Br8 0.7590 0.2530 0.7684

Most intense lines, 2θ from 10° to 90°, sorted by position:
d [Å]	2theta	I/Imax
6.829	12.96	100
3.484	25.57	29
2.914	30.68	96
2.895	30.88	48
2.069	43.76	34
2.039	44.42	52



For RbCdHgBr5, a structure optimized by DFT (GGA-PBE) gives the calculated powder X-ray diffraction pattern in this record (copper Kα).
Lines closer than 0.1° are merged.

Atomic structure:
a b c (Å): 8.0499 8.0499 10.2367
angles (deg): 102.94 102.94 107.37
Element x y z (fractional)
Rb1 0.1563 0.8437 0.7500
Rb2 0.8437 0.1563 0.2500
Cd1 0.5000 0.5000 0.0000
Cd2 0.5000 0.5000 0.5000
Hg1 0.1840 0.8160 0.2500
Hg2 0.8160 0.1840 0.7500
Br1 0.1308 0.2508 0.9503
Br2 0.1865 0.5908 0.4062
Br3 0.2508 0.1308 0.4503
Br4 0.4092 0.8135 0.0938
Br5 0.4260 0.5740 0.7500
Br6 0.5740 0.4260 0.2500
Br7 0.5908 0.1865 0.9062
Br8 0.7492 0.8692 0.5497
Br9 0.8135 0.4092 0.5938
Br10 0.8692 0.7492 0.0497

Most intense lines, 2θ from 10° to 90°, sorted by position:
d [Å]	2theta	I/Imax
4.702	18.87	74
4.413	20.12	77
3.883	22.90	57
3.828	23.24	100
3.400	26.21	76
2.432	36.95	61



For CdIBr4, a structure optimized by DFT (GGA-PBE) gives the calculated powder X-ray diffraction pattern in this record (copper Kα).
Lines closer than 0.1° are merged.

Atomic structure:
a b c (Å): 13.7171 13.7171 7.1558
angles (deg): 91.30 91.30 155.30
Element x y z (fractional)
Cd1 0.9998 0.0002 0.2500
Cd2 0.0002 0.9998 0.7500
I1 0.2881 0.7119 0.7500
I2 0.7119 0.2881 0.2500
Br1 0.0116 0.6439 0.5114
Br2 0.1787 0.2856 0.0196
Br3 0.2856 0.1787 0.5196
Br4 0.3561 0.9884 0.9886
Br5 0.6439 0.0116 0.0114
Br6 0.7144 0.8213 0.4804
Br7 0.8213 0.7144 0.9804
Br8 0.9884 0.3561 0.4886

Most intense lines, 2θ from 10° to 90°, sorted by position:
d [Å]	2theta	I/Imax
6.700	13.21	82
5.700	15.55	47
4.882	18.17	55
4.693	18.91	72
4.205	21.13	100
3.351	26.60	77